No. 1
Ca6PmSe8: theoretical powder diffractogram (Cu Kα), based on a structure optimized by DFT (PBE).
Lines closer than 0.1° are merged.

Cell and atoms:
```
data_Ca6PmSe8
_cell_length_a 11.919
_cell_length_b 11.919
_cell_length_c 11.919
_cell_angle_alpha 90.00
_cell_angle_beta 90.00
_cell_angle_gamma 90.00
_symmetry_space_group_name_H-M 'F m -3 m'
_symmetry_Int_Tables_number 225
_symmetry_space_group_name_Hall '-F 4 2 3'
loop_
_atom_site_label
_atom_site_fract_x
_atom_site_fract_y
_atom_site_fract_z
_atom_site_occupancy
Ca1 0.000 0.250 0.250 1
Pm1 0.000 0.000 0.000 1
Se1 0.000 0.000 0.246 1
Se2 0.250 0.250 0.250 1
```

Most intense lines, 10 to 90 degrees two-theta, in order of rising 2θ:
- (1 1 1), 12.86 deg, I 23
- (3 1 1), 24.77 deg, I 12
- (4 0 0), 29.99 deg, I 100
- (4 4 0), 42.92 deg, I 73
- (4 4 4), 53.25 deg, I 25
- (8 0 0), 62.32 deg, I 12
- (8 4 0), 70.69 deg, I 31
- (8 4 4), 78.65 deg, I 23

***

No. 2
Ho4InCu3: theoretical powder diffractogram (Cu Kα), based on a structure optimized by DFT (PBE).
Lines closer than 0.1° are merged.

Cell and atoms:
```
data_Ho4InCu3
_cell_length_a 4.9972
_cell_length_b 4.9972
_cell_length_c 24.5047
_cell_angle_alpha 90.00
_cell_angle_beta 90.00
_cell_angle_gamma 120.00
_symmetry_space_group_name_H-M 'R -3 m'
_symmetry_Int_Tables_number 166
_symmetry_space_group_name_Hall '-R 3 2"'
loop_
_atom_site_label
_atom_site_fract_x
_atom_site_fract_y
_atom_site_fract_z
_atom_site_occupancy
Ho1 0.0000 0.0000 0.1177 1
Ho2 0.0000 0.0000 0.3690 1
In1 0.0000 0.0000 0.5000 1
Cu1 0.0000 0.0000 0.0000 1
Cu2 0.0000 0.0000 0.2447 1
```

Most intense lines, 10 to 90 degrees two-theta, in order of rising 2θ:
- (1 0 4), 25.19 deg, I 14
- (1 1 0), 35.93 deg, I 100
- (0 2 4), 44.39 deg, I 4
- (2 0 8), 51.72 deg, I 17
- (2 1 4), 58.38 deg, I 5
- (3 0 0), 64.59 deg, I 32
- (2 2 0), 76.18 deg, I 10
- (3 1 8), 87.21 deg, I 13

***

No. 3
SrLa2Cr: theoretical powder diffractogram (Cu Kα), based on a structure optimized by DFT (PBE).
Lines closer than 0.1° are merged.

Cell and atoms:
```
data_SrLa2Cr
_cell_length_a 3.832
_cell_length_b 3.836
_cell_length_c 9.765
_cell_angle_alpha 90.00
_cell_angle_beta 90.09
_cell_angle_gamma 90.00
_symmetry_space_group_name_H-M 'P 1 2/m 1'
_symmetry_Int_Tables_number 10
loop_
_symmetry_equiv_pos_as_xyz
'x,y,z'
'-x,-y,-z'
'-x,y,-z'
'x,-y,z'
loop_
_atom_site_label
_atom_site_fract_x
_atom_site_fract_y
_atom_site_fract_z
_atom_site_occupancy
Sr1 0.000 0.000 0.000 1
La1 0.500 0.500 0.322 1
Cr1 0.000 0.000 0.500 1
```

Most intense lines, 10 to 90 degrees two-theta, in order of rising 2θ:
- (1 0 -1), 24.95 deg, I 38
- (0 0 3), 27.40 deg, I 29
- (1 0 2), 29.62 deg, I 100
- (1 1 0), 33.04 deg, I 67
- (1 0 3), 36.20 deg, I 33
- (1 1 3), 43.44 deg, I 33
- (2 0 0), 47.42 deg, I 24
- (2 1 2), 56.92 deg, I 30

***

No. 4
ZnTe5: theoretical powder diffractogram (Cu Kα), based on a structure optimized by DFT (PBE).
Lines closer than 0.1° are merged.

Cell and atoms:
```
data_ZnTe5
_cell_length_a 4.197
_cell_length_b 14.313
_cell_length_c 6.137
_cell_angle_alpha 90.00
_cell_angle_beta 90.00
_cell_angle_gamma 90.00
_symmetry_space_group_name_H-M 'C m m m'
_symmetry_Int_Tables_number 65
_symmetry_space_group_name_Hall '-C 2 2'
loop_
_atom_site_label
_atom_site_fract_x
_atom_site_fract_y
_atom_site_fract_z
_atom_site_occupancy
Zn1 0.000 0.000 0.000 1
Te1 0.000 0.000 0.500 1
Te2 0.000 0.349 0.500 1
Te3 0.000 0.362 0.000 1
```

Most intense lines, 10 to 90 degrees two-theta, in order of rising 2θ:
- (1 3 0), 28.32 deg, I 100
- (0 0 2), 29.10 deg, I 54
- (0 6 0), 37.71 deg, I 15
- (1 3 2), 41.06 deg, I 73
- (2 0 0), 43.10 deg, I 18
- (0 6 2), 48.33 deg, I 15
- (2 0 2), 52.85 deg, I 20
- (1 3 4), 67.96 deg, I 16

***

No. 5
CdCu6Sn: theoretical powder diffractogram (Cu Kα), based on a structure optimized by DFT (PBE).
Lines closer than 0.1° are merged.

Cell and atoms:
```
data_CdCu6Sn
_cell_length_a 4.309
_cell_length_b 5.863
_cell_length_c 9.104
_cell_angle_alpha 90.00
_cell_angle_beta 90.00
_cell_angle_gamma 90.00
_symmetry_space_group_name_H-M 'A m m 2'
_symmetry_Int_Tables_number 38
loop_
_symmetry_equiv_pos_as_xyz
'x,y,z'
'-x,-y,z'
'-x,y,z'
'x,-y,z'
'x,y+1/2,z+1/2'
'-x,-y+1/2,z+1/2'
'-x,y+1/2,z+1/2'
'x,-y+1/2,z+1/2'
loop_
_atom_site_label
_atom_site_fract_x
_atom_site_fract_y
_atom_site_fract_z
_atom_site_occupancy
Cd1 0.000 0.000 0.000 1
Cu1 0.000 0.000 0.492 1
Cu2 0.000 0.219 0.739 1
Cu3 0.500 0.000 0.811 1
Cu4 0.500 0.221 0.564 1
Sn1 0.500 0.000 0.300 1
```

Most intense lines, 10 to 90 degrees two-theta, in order of rising 2θ:
- (0 2 2), 36.46 deg, I 14
- (0 0 4), 39.60 deg, I 18
- (2 0 0), 41.94 deg, I 32
- (1 2 2), 42.25 deg, I 100
- (1 0 4), 45.05 deg, I 27
- (0 2 6), 69.80 deg, I 10
- (3 2 2), 76.82 deg, I 16
- (2 2 6), 84.88 deg, I 12

***

No. 6
CsRhPb4: theoretical powder diffractogram (Cu Kα), based on a structure optimized by DFT (PBE).
Lines closer than 0.1° are merged.

Cell and atoms:
```
data_CsRhPb4
_cell_length_a 6.774
_cell_length_b 7.486
_cell_length_c 8.694
_cell_angle_alpha 101.90
_cell_angle_beta 111.57
_cell_angle_gamma 90.73
_symmetry_space_group_name_H-M 'P -1'
_symmetry_Int_Tables_number 2
loop_
_symmetry_equiv_pos_as_xyz
'x,y,z'
'-x,-y,-z'
loop_
_atom_site_label
_atom_site_fract_x
_atom_site_fract_y
_atom_site_fract_z
_atom_site_occupancy
Cs1 0.015 0.248 0.495 1
Rh1 0.000 0.500 0.000 1
Rh2 0.500 0.000 0.000 1
Pb1 0.123 0.153 0.939 1
Pb2 0.318 0.644 0.924 1
Pb3 0.381 0.506 0.282 1
Pb4 0.388 0.965 0.275 1
```

Most intense lines, 10 to 90 degrees two-theta, in order of rising 2θ:
- (0 0 1), 11.24 deg, I 68
- (2 0 -1), 26.32 deg, I 40
- (0 2 -2), 29.37 deg, I 59
- (1 2 0), 29.49 deg, I 100
- (2 -1 0), 29.90 deg, I 25
- (1 0 2), 31.06 deg, I 59
- (1 0 -3), 31.57 deg, I 55
- (2 -2 1), 39.38 deg, I 23

***

No. 7
Ca3Zn2AgAu9: theoretical powder diffractogram (Cu Kα), based on a structure optimized by DFT (PBE).
Lines closer than 0.1° are merged.

Cell and atoms:
```
data_Ca3Zn2AgAu9
_cell_length_a 5.8612
_cell_length_b 5.8612
_cell_length_c 12.1556
_cell_angle_alpha 90.00
_cell_angle_beta 90.00
_cell_angle_gamma 120.00
_symmetry_space_group_name_H-M 'P -3 m 1'
_symmetry_Int_Tables_number 164
_symmetry_space_group_name_Hall '-P 3 2"'
loop_
_atom_site_label
_atom_site_fract_x
_atom_site_fract_y
_atom_site_fract_z
_atom_site_occupancy
Ca1 0.0000 0.0000 0.0000 1
Ca2 0.3333 0.6667 0.5764 1
Zn1 0.3333 0.6667 0.1618 1
Ag1 0.0000 0.0000 0.5000 1
Au1 0.0000 0.5000 0.0000 1
Au2 0.1665 0.3329 0.3224 1
```

Most intense lines, 10 to 90 degrees two-theta, in order of rising 2θ:
- (1 0 1), 18.95 deg, I 69
- (0 0 3), 21.94 deg, I 72
- (0 2 1), 36.16 deg, I 71
- (1 1 3), 37.89 deg, I 31
- (2 0 2), 38.44 deg, I 100
- (0 2 4), 46.63 deg, I 51
- (2 0 5), 52.10 deg, I 21
- (2 2 0), 63.49 deg, I 24

***

No. 8
Cs2PmAlTe4: theoretical powder diffractogram (Cu Kα), based on a structure optimized by DFT (PBE).
Lines closer than 0.1° are merged.

Cell and atoms:
```
data_Cs2PmAlTe4
_cell_length_a 9.332
_cell_length_b 9.765
_cell_length_c 13.598
_cell_angle_alpha 90.00
_cell_angle_beta 90.00
_cell_angle_gamma 90.00
_symmetry_space_group_name_H-M 'I m m a'
_symmetry_Int_Tables_number 74
_symmetry_space_group_name_Hall '-I 2b 2'
loop_
_atom_site_label
_atom_site_fract_x
_atom_site_fract_y
_atom_site_fract_z
_atom_site_occupancy
Cs1 0.000 0.000 0.000 1
Cs2 0.250 0.250 0.250 1
Pm1 0.000 0.000 0.500 1
Al1 0.250 0.250 0.750 1
Te1 0.000 0.058 0.735 1
Te2 0.219 0.250 0.530 1
```

Most intense lines, 10 to 90 degrees two-theta, in order of rising 2θ:
- (0 0 4), 26.22 deg, I 51
- (2 2 0), 26.42 deg, I 100
- (2 1 3), 28.95 deg, I 21
- (0 3 3), 33.91 deg, I 14
- (0 4 0), 36.82 deg, I 14
- (2 2 4), 37.56 deg, I 65
- (4 0 0), 38.59 deg, I 19
- (4 0 4), 47.25 deg, I 18

***

> Which formula does entry 3 have?

SrLa2Cr